Diffraction record for Ba2CuO3. The powder diffraction line list is computed, not measured: it uses a PBE-relaxed structure and a wavelength of 1.5418 Å.
No peak broadening, texture or thermal motion is included.

Cell and atoms:
a b c (Å): 3.854 4.174 13.181
angles (deg): 90.00 90.00 90.00
Sites, in units of the cell vectors:
1 Ba 0.000 0.000 0.145
2 Ba 0.000 0.000 0.855
3 Ba 0.500 0.500 0.355
4 Ba 0.500 0.500 0.645
5 Cu 0.000 0.000 0.500
6 Cu 0.500 0.500 0.000
7 O 0.000 0.000 0.353
8 O 0.000 0.000 0.647
9 O 0.000 0.500 0.500
10 O 0.500 0.000 0.000
11 O 0.500 0.500 0.147
12 O 0.500 0.500 0.853

Main lines, by angle (15 to 90 degrees two-theta):
27.06 deg, I 18, (0 0 4); 29.52 deg, I 67, (0 1 3); 30.86 deg, I 76, (1 0 3); 31.60 deg, I 100, (1 1 0); 42.07 deg, I 30, (1 1 4); 43.36 deg, I 24, (0 2 0); 47.16 deg, I 19, (2 0 0); 52.74 deg, I 28, (1 1 6); 54.17 deg, I 35, (1 2 3); 56.62 deg, I 22, (2 1 3)